For AlGaHgS4, a crystal structure in Alexandria, relaxed with GGA-PBE gives the simulated X-ray powder pattern in this record (CuKα).
Peak positions follow from Bragg's law for the DFT cell and can differ from measured ones.

Atomic structure:
abc: 5.6461 5.6461 10.2942
angles: 90.00 90.00 90.00
Space group I-4 (No. 82)
One atom of each set of equivalent atoms:
1 Al 0.0000 0.0000 0.0000
2 Ga 0.0000 0.5000 0.7500
3 Hg 0.0000 0.5000 0.2500
4 S 0.2232 0.7336 0.8877

Largest 10 diffraction maxima, in order of rising 2θ, 15° ≤ 2θ ≤ 90°:
hkl 0 0 2, 5.147 Å, I 36; hkl 1 0 1, 4.950 Å, I 36; hkl 1 1 0, 3.992 Å, I 51; hkl 1 1 2, 3.155 Å, I 100; hkl 2 0 2, 2.475 Å, I 34; hkl 2 1 1, 2.452 Å, I 19; hkl 1 1 4, 2.163 Å, I 20; hkl 2 2 0, 1.996 Å, I 22; hkl 2 0 4, 1.902 Å, I 38; hkl 3 1 2, 1.687 Å, I 31